No. 1
Diffraction record for InSiHgF6. The powder X-ray diffraction pattern is theoretical, not measured: it uses a GGA-PBE-relaxed structure and λ = 1.5418 Å (Cu Kα).

Cell and atoms:
```
9
Lattice="4.617 0.000 0.000 0.479 4.968 0.000 1.620 0.296 6.088" Properties=species:S:1:pos:R:3 pbc="T T T"
In 0.000 0.000 0.000
Si 4.255 2.775 4.291
Hg 2.763 4.966 1.753
F 3.232 2.127 5.516
F 3.280 4.271 4.396
F 3.261 2.158 3.095
F 5.263 3.391 5.565
F 5.213 1.303 4.333
F 5.235 3.491 3.149
```

Most intense lines, 5 to 70 degrees two-theta, sorted by position:
two_theta, Rel. int.
14.55, 29
17.88, 100
22.56, 66
23.68, 45
26.60, 28
27.66, 62
29.64, 27
31.15, 52
33.63, 32
36.21, 29
37.70, 36
45.38, 32


No. 2
Diffraction record for LaBi2Au2. The powder X-ray diffraction pattern is theoretical, not measured: it uses a GGA-PBE-relaxed structure and λ = 1.5418 Å (Cu Kα).

Cell and atoms:
```
10
Lattice="4.746 0.000 0.000 0.000 5.118 0.000 -0.023 0.000 11.649" Properties=species:S:1:pos:R:3 pbc="T T T"
La 1.173 1.279 3.882
La 3.550 3.838 7.767
Bi 1.189 1.279 0.174
Bi 1.176 1.279 8.035
Bi 3.546 3.838 3.614
Bi 3.534 3.838 11.474
Au 1.178 3.838 1.689
Au 1.176 3.838 5.776
Au 3.546 1.279 5.872
Au 3.544 1.279 9.959
```

Most intense lines, 5 to 70 degrees two-theta, sorted by position:
two_theta, Rel. int.
18.94, 12
24.19, 9
29.73, 5
29.91, 5
34.61, 100
35.07, 27
37.92, 22
46.79, 8
52.60, 17
59.79, 9
62.62, 18
66.37, 16


No. 3
Diffraction record for Pr16Nd6Ho7. The powder X-ray diffraction pattern is theoretical, not measured: it uses a GGA-PBE-relaxed structure and λ = 1.5418 Å (Cu Kα).

Cell and atoms:
```
29
Lattice="0.000 8.046 8.046 8.046 0.000 8.046 8.046 8.046 0.000" Properties=species:S:1:pos:R:3 pbc="T T T"
Pr 10.516 5.576 5.576
Pr 1.963 1.963 1.963
Pr 6.083 6.083 1.963
Pr 6.083 1.963 6.083
Pr 5.576 5.576 5.576
Pr 10.516 10.516 5.576
Pr 10.516 5.576 10.516
Pr 14.130 10.009 10.009
Pr 1.963 6.083 6.083
Pr 5.576 10.516 5.576
Pr 5.576 5.576 10.516
Pr 10.516 10.516 10.516
Pr 10.009 14.130 10.009
Pr 10.009 10.009 14.130
Pr 14.130 14.130 14.130
Pr 5.576 10.516 10.516
Nd 8.046 8.046 4.689
Nd 8.046 4.689 8.046
Nd 11.403 8.046 8.046
Nd 4.689 8.046 8.046
Nd 8.046 11.403 8.046
Nd 8.046 8.046 11.403
Ho 0.000 0.000 0.000
Ho 4.023 4.023 0.000
Ho 4.023 0.000 4.023
Ho 8.046 4.023 4.023
Ho 0.000 4.023 4.023
Ho 4.023 8.046 4.023
Ho 4.023 4.023 8.046
```

Most intense lines, 5 to 70 degrees two-theta, sorted by position:
two_theta, Rel. int.
27.15, 9
28.83, 27
31.45, 100
32.93, 7
33.41, 7
43.18, 12
45.07, 12
51.75, 7
55.99, 20
56.93, 8
59.41, 10
69.06, 7


No. 4
Diffraction record for Pm3AlGe3. The powder X-ray diffraction pattern is theoretical, not measured: it uses a GGA-PBE-relaxed structure and λ = 1.5418 Å (Cu Kα).

Cell and atoms:
```
14
Lattice="8.702 0.000 0.000 -4.351 7.536 0.000 0.000 0.000 6.033" Properties=species:S:1:pos:R:3 pbc="T T T"
Pm -1.056 2.789 1.508
Pm -1.407 7.056 1.508
Pm 1.887 2.309 4.525
Pm 2.463 5.227 1.508
Pm 5.758 0.480 4.525
Pm 5.407 4.747 4.525
Al 0.000 5.024 4.525
Al 4.351 2.512 1.508
Ge -1.044 2.740 4.525
Ge -1.456 7.071 4.525
Ge 1.850 2.274 1.508
Ge 2.500 5.262 4.525
Ge 5.807 0.465 1.508
Ge 5.395 4.796 1.508
```

Most intense lines, 5 to 70 degrees two-theta, sorted by position:
two_theta, Rel. int.
20.41, 100
25.24, 45
29.61, 91
31.41, 92
35.74, 78
36.24, 47
43.29, 25
43.71, 74
47.08, 71
53.32, 27
61.85, 18
65.53, 29